Li4Cr3Co5O16: calculated powder diffractogram (Cu Kα (λ = 1.5418 Å)), based on a cell relaxed with GGA+U.
Lines closer than 0.1° are merged.

Largest 6 diffraction maxima, by angle, 10° ≤ 2θ ≤ 90°:
d/Å, 2theta, I (rel.)
4.733, 18.75, 100.0
4.469, 19.87, 32.3
4.430, 20.04, 58.1
4.409, 20.14, 66.8
2.463, 36.49, 31.3
1.449, 64.28, 39.2

Structural model:
a b c (Å): 5.757 5.795 9.468
angles (deg): 90.56 90.28 119.74
Fractional positions:
Li (0.000, 0.000, 0.000)
Li (0.015, 0.005, 0.502)
Li (0.351, 0.650, 0.401)
Li (0.701, 0.325, 0.896)
Cr (0.196, 0.827, 0.718)
Cr (0.344, 0.156, 0.213)
Cr (0.843, 0.648, 0.218)
Co (0.196, 0.335, 0.718)
Co (0.364, 0.673, 0.991)
Co (0.675, 0.331, 0.495)
Co (0.689, 0.827, 0.717)
Co (0.838, 0.159, 0.222)
O (0.005, 0.997, 0.315)
O (0.024, 0.006, 0.814)
O (0.073, 0.510, 0.842)
O (0.173, 0.317, 0.115)
O (0.180, 0.836, 0.105)
O (0.349, 0.167, 0.607)
O (0.363, 0.654, 0.612)
O (0.514, 0.517, 0.830)
O (0.522, 0.959, 0.839)
O (0.527, 0.461, 0.340)
O (0.530, 0.023, 0.336)
O (0.680, 0.830, 0.107)
O (0.682, 0.311, 0.108)
O (0.853, 0.676, 0.606)
O (0.861, 0.161, 0.617)
O (0.972, 0.457, 0.345)